[1]
# TbSmRh4
Theoretical powder X-ray diffraction pattern, Cu Kα. Input: the PBE geometry in Alexandria.
No peak broadening, texture or thermal motion is included.

Atomic structure:
```
data_TbSmRh4
_chemical_formula_sum 'Tb1 Sm1 Rh4'
_cell_length_a 5.367
_cell_length_b 5.367
_cell_length_c 5.367
_cell_angle_alpha 60.00
_cell_angle_beta 60.00
_cell_angle_gamma 60.00
_space_group_name_H-M_alt 'P 1'
_space_group_IT_number 1
_space_group_name_Hall 'P 1'
loop_
_atom_site_label
_atom_site_fract_x
_atom_site_fract_y
_atom_site_fract_z
_atom_site_occupancy
Tb1 0.000 0.000 0.000 1
Sm1 0.250 0.250 0.250 1
Rh1 0.125 0.625 0.625 1
Rh2 0.625 0.125 0.625 1
Rh3 0.625 0.625 0.125 1
Rh4 0.625 0.625 0.625 1
```

Top 6 peaks for 5 to 70 degrees two-theta, low angle first:
| Position (°2θ) | I (rel.) |
| --- | --- |
| 33.4 | 40 |
| 39.4 | 100 |
| 41.2 | 28 |
| 47.9 | 1 |
| 59.7 | 15 |
| 63.7 | 32 |

---

[2]
# Pb2SO5
Theoretical powder X-ray diffraction pattern, Cu Kα. Input: the PBE geometry in Alexandria.
No peak broadening, texture or thermal motion is included.

Atomic structure:
```
data_Pb2SO5
_chemical_formula_sum 'Pb4 S2 O10'
_cell_length_a 7.562
_cell_length_b 7.562
_cell_length_c 7.191
_cell_angle_alpha 112.66
_cell_angle_beta 112.66
_cell_angle_gamma 45.09
_space_group_name_H-M_alt 'P 1'
_space_group_IT_number 1
_space_group_name_Hall 'P 1'
loop_
_atom_site_label
_atom_site_fract_x
_atom_site_fract_y
_atom_site_fract_z
_atom_site_occupancy
Pb1 0.027 0.027 0.270 1
Pb2 0.355 0.355 0.904 1
Pb3 0.645 0.645 0.096 1
Pb4 0.973 0.973 0.730 1
S1 0.328 0.328 0.344 1
S2 0.672 0.672 0.656 1
O1 0.146 0.566 0.255 1
O2 0.212 0.212 0.283 1
O3 0.247 0.753 0.000 1
O4 0.387 0.387 0.571 1
O5 0.434 0.854 0.745 1
O6 0.566 0.146 0.255 1
O7 0.613 0.613 0.429 1
O8 0.753 0.247 0.000 1
O9 0.788 0.788 0.717 1
O10 0.854 0.434 0.745 1
```

Top 8 peaks for 5 to 70 degrees two-theta, low angle first:
| Position (°2θ) | I (rel.) |
| --- | --- |
| 26.1 | 100 |
| 29.6 | 80 |
| 30.0 | 24 |
| 30.8 | 51 |
| 35.7 | 32 |
| 39.0 | 21 |
| 43.5 | 28 |
| 47.9 | 29 |

---

[3]
# Ca3Ac8Pr3
Theoretical powder X-ray diffraction pattern, Cu Kα. Input: the PBE geometry in Alexandria.
No peak broadening, texture or thermal motion is included.

Atomic structure:
```
data_Ca3Ac8Pr3
_chemical_formula_sum 'Ca3 Ac8 Pr3'
_cell_length_a 10.486
_cell_length_b 10.486
_cell_length_c 6.952
_cell_angle_alpha 93.48
_cell_angle_beta 93.48
_cell_angle_gamma 58.23
_space_group_name_H-M_alt 'P 1'
_space_group_IT_number 1
_space_group_name_Hall 'P 1'
loop_
_atom_site_label
_atom_site_fract_x
_atom_site_fract_y
_atom_site_fract_z
_atom_site_occupancy
Ca1 0.000 0.000 0.000 1
Ca2 0.166 0.834 0.500 1
Ca3 0.834 0.166 0.500 1
Ac1 0.051 0.625 0.156 1
Ac2 0.184 0.514 0.664 1
Ac3 0.375 0.949 0.844 1
Ac4 0.486 0.816 0.336 1
Ac5 0.514 0.184 0.664 1
Ac6 0.625 0.051 0.156 1
Ac7 0.816 0.486 0.336 1
Ac8 0.949 0.375 0.844 1
Pr1 0.197 0.197 0.341 1
Pr2 0.500 0.500 0.000 1
Pr3 0.803 0.803 0.659 1
```

Top 8 peaks for 5 to 70 degrees two-theta, low angle first:
| Position (°2θ) | I (rel.) |
| --- | --- |
| 9.7 | 68 |
| 23.4 | 39 |
| 26.2 | 40 |
| 28.2 | 86 |
| 29.3 | 58 |
| 29.8 | 100 |
| 31.3 | 64 |
| 37.8 | 34 |

---

[4]
# NdTm2Pd2
Theoretical powder X-ray diffraction pattern, Cu Kα. Input: the PBE geometry in Alexandria.
No peak broadening, texture or thermal motion is included.

Atomic structure:
```
data_NdTm2Pd2
_chemical_formula_sum 'Nd2 Tm4 Pd4'
_cell_length_a 5.214
_cell_length_b 4.756
_cell_length_c 10.443
_cell_angle_alpha 90.00
_cell_angle_beta 95.70
_cell_angle_gamma 90.00
_space_group_name_H-M_alt 'P 1'
_space_group_IT_number 1
_space_group_name_Hall 'P 1'
loop_
_atom_site_label
_atom_site_fract_x
_atom_site_fract_y
_atom_site_fract_z
_atom_site_occupancy
Nd1 0.192 0.250 0.231 1
Nd2 0.808 0.750 0.769 1
Tm1 0.249 0.750 0.497 1
Tm2 0.331 0.250 0.891 1
Tm3 0.669 0.750 0.109 1
Tm4 0.751 0.250 0.503 1
Pd1 0.159 0.750 0.020 1
Pd2 0.274 0.250 0.626 1
Pd3 0.726 0.750 0.374 1
Pd4 0.841 0.250 0.980 1
```

Top 8 peaks for 5 to 70 degrees two-theta, low angle first:
| Position (°2θ) | I (rel.) |
| --- | --- |
| 27.4 | 39 |
| 29.8 | 100 |
| 31.7 | 42 |
| 32.0 | 77 |
| 34.6 | 53 |
| 37.8 | 72 |
| 41.9 | 34 |
| 44.8 | 40 |

---

[5]
# NaPt3O6
Theoretical powder X-ray diffraction pattern, Cu Kα. Input: the PBE geometry in Alexandria.
No peak broadening, texture or thermal motion is included.

Atomic structure:
```
data_NaPt3O6
_chemical_formula_sum 'Na1 Pt3 O6'
_cell_length_a 6.376
_cell_length_b 6.376
_cell_length_c 3.167
_cell_angle_alpha 90.00
_cell_angle_beta 90.00
_cell_angle_gamma 110.50
_space_group_name_H-M_alt 'P 1'
_space_group_IT_number 1
_space_group_name_Hall 'P 1'
loop_
_atom_site_label
_atom_site_fract_x
_atom_site_fract_y
_atom_site_fract_z
_atom_site_occupancy
Na1 0.000 0.000 0.000 1
Pt1 0.000 0.500 0.500 1
Pt2 0.500 0.000 0.500 1
Pt3 0.500 0.500 0.000 1
O1 0.166 0.423 0.000 1
O2 0.172 0.828 0.500 1
O3 0.423 0.166 0.000 1
O4 0.577 0.834 0.000 1
O5 0.828 0.172 0.500 1
O6 0.834 0.577 0.000 1
```

Top 8 peaks for 5 to 70 degrees two-theta, low angle first:
| Position (°2θ) | I (rel.) |
| --- | --- |
| 14.8 | 41 |
| 29.9 | 100 |
| 33.0 | 86 |
| 34.2 | 28 |
| 37.7 | 42 |
| 51.8 | 56 |
| 61.4 | 29 |
| 66.9 | 21 |

---

[6]
# Pr4PuSe7
Theoretical powder X-ray diffraction pattern, Cu Kα. Input: the PBE geometry in Alexandria.
No peak broadening, texture or thermal motion is included.

Atomic structure:
```
data_Pr4PuSe7
_chemical_formula_sum 'Pr4 Pu1 Se7'
_cell_length_a 7.248
_cell_length_b 7.248
_cell_length_c 12.556
_cell_angle_alpha 104.32
_cell_angle_beta 104.32
_cell_angle_gamma 33.25
_space_group_name_H-M_alt 'P 1'
_space_group_IT_number 1
_space_group_name_Hall 'P 1'
loop_
_atom_site_label
_atom_site_fract_x
_atom_site_fract_y
_atom_site_fract_z
_atom_site_occupancy
Pr1 0.000 0.000 0.000 1
Pr2 0.188 0.188 0.767 1
Pr3 0.582 0.582 0.379 1
Pr4 0.885 0.885 0.572 1
Pu1 0.769 0.769 0.149 1
Se1 0.151 0.151 0.224 1
Se2 0.224 0.224 0.524 1
Se3 0.381 0.381 0.075 1
Se4 0.546 0.546 0.623 1
Se5 0.624 0.624 0.924 1
Se6 0.845 0.845 0.790 1
Se7 0.924 0.924 0.354 1
```

Top 8 peaks for 5 to 70 degrees two-theta, low angle first:
| Position (°2θ) | I (rel.) |
| --- | --- |
| 22.1 | 80 |
| 22.6 | 65 |
| 29.0 | 95 |
| 30.5 | 100 |
| 31.6 | 61 |
| 33.6 | 53 |
| 35.9 | 51 |
| 43.7 | 97 |

---

[7]
# Rb2NdI5
Theoretical powder X-ray diffraction pattern, Cu Kα. Input: the PBE geometry in Alexandria.
No peak broadening, texture or thermal motion is included.

Atomic structure:
```
data_Rb2NdI5
_chemical_formula_sum 'Rb8 Nd4 I20'
_cell_length_a 14.948
_cell_length_b 10.076
_cell_length_c 9.554
_cell_angle_alpha 90.00
_cell_angle_beta 90.00
_cell_angle_gamma 90.00
_space_group_name_H-M_alt 'P 1'
_space_group_IT_number 1
_space_group_name_Hall 'P 1'
loop_
_atom_site_label
_atom_site_fract_x
_atom_site_fract_y
_atom_site_fract_z
_atom_site_occupancy
Rb1 0.170 0.009 0.081 1
Rb2 0.170 0.491 0.081 1
Rb3 0.330 0.509 0.581 1
Rb4 0.330 0.991 0.581 1
Rb5 0.670 0.009 0.419 1
Rb6 0.670 0.491 0.419 1
Rb7 0.830 0.509 0.919 1
Rb8 0.830 0.991 0.919 1
Nd1 0.006 0.250 0.577 1
Nd2 0.494 0.750 0.077 1
Nd3 0.506 0.250 0.923 1
Nd4 0.994 0.750 0.423 1
I1 0.010 0.250 0.916 1
I2 0.064 0.548 0.670 1
I3 0.064 0.952 0.670 1
I4 0.186 0.250 0.400 1
I5 0.201 0.750 0.358 1
I6 0.299 0.250 0.858 1
I7 0.314 0.750 0.900 1
I8 0.436 0.048 0.170 1
I9 0.436 0.452 0.170 1
I10 0.490 0.750 0.416 1
I11 0.510 0.250 0.584 1
I12 0.564 0.548 0.830 1
I13 0.564 0.952 0.830 1
I14 0.686 0.250 0.100 1
I15 0.701 0.750 0.142 1
I16 0.799 0.250 0.642 1
I17 0.814 0.750 0.600 1
I18 0.936 0.048 0.330 1
I19 0.936 0.452 0.330 1
I20 0.990 0.750 0.084 1
```

Top 8 peaks for 5 to 70 degrees two-theta, low angle first:
| Position (°2θ) | I (rel.) |
| --- | --- |
| 11.0 | 30 |
| 25.6 | 71 |
| 26.4 | 100 |
| 26.8 | 55 |
| 28.4 | 32 |
| 29.8 | 29 |
| 31.8 | 33 |
| 35.6 | 38 |